Structure and simulated powder diffraction line list of Pm4Nd2HoTm (a cell relaxed with GGA-PBE; Cu Kα X-rays).
Neutral-atom scattering factors, no anomalous dispersion.

```
data_Pm4Nd2HoTm
_chemical_formula_sum 'Pm16 Nd8 Ho4 Tm4'
_cell_length_a 13.7609
_cell_length_b 13.3394
_cell_length_c 6.8910
_cell_angle_alpha 90.00
_cell_angle_beta 119.87
_cell_angle_gamma 90.00
_symmetry_space_group_name_H-M 'C 1 2/c 1'
_symmetry_Int_Tables_number 15
loop_
_symmetry_equiv_pos_as_xyz
'x,y,z'
'-x,-y,-z'
'-x,y,-z+1/2'
'x,-y,z+1/2'
'x+1/2,y+1/2,z'
'-x+1/2,-y+1/2,-z'
'-x+1/2,y+1/2,-z+1/2'
'x+1/2,-y+1/2,z+1/2'
loop_
_atom_site_label
_atom_site_type_symbol
_atom_site_fract_x
_atom_site_fract_y
_atom_site_fract_z
Pm1 Pm 0.0010 0.2439 0.0006
Pm2 Pm 0.2462 0.0024 0.4711
Nd1 Nd 0.0000 0.5000 0.0000
Nd2 Nd 0.2500 0.2500 0.0000
Ho1 Ho 0.2500 0.2500 0.5000
Tm1 Tm 0.0000 0.0000 0.0000
```

The 10 most intense peaks (10° ≤ 2θ ≤ 90°), most intense first:
hkl, 2θ/deg, intensity
4 0 0, 29.95, 100
4 4 0, 40.57, 88
0 4 0, 26.73, 45
4 4 2, 60.45, 17
4 8 0, 63.98, 15
4 0 2, 53.13, 13
8 4 0, 69.01, 12
8 4 -2, 60.57, 9
8 0 0, 62.28, 8
8 8 0, 87.84, 8